# 1
YSc2In2: theoretical powder XRD pattern (copper Kα), based on a structure optimized by DFT (PBE).
Neutral-atom scattering factors, no anomalous dispersion.

Structural model:
a = 8.7202 Å, b = 8.7202 Å, c = 3.2552 Å
α = 90.00°, β = 90.00°, γ = 90.00°
Space group P4/mbm (No. 127)
Unique sites:
1 Y 0.0000 0.0000 0.0000 [2 per cell]
2 Sc 0.1210 0.3790 0.0000 [4 per cell]
3 In 0.1769 0.6769 0.5000 [4 per cell]

Principal peaks in the range 10 to 90 degrees two-theta, low angle first:
hkl	2θ (°)	I/Imax
2 1 0	22.80	33
2 2 0	28.96	27
3 1 0	32.47	70
2 0 1	34.38	61
2 1 1	35.94	100
4 1 0	42.75	25
4 1 1	51.53	26
3 3 1	52.67	24

---

# 2
Sc3Zn2In3: theoretical powder XRD pattern (copper Kα), based on a structure optimized by DFT (PBE).
Neutral-atom scattering factors, no anomalous dispersion.

Structural model:
a = 7.4927 Å, b = 7.4927 Å, c = 3.4382 Å
α = 90.00°, β = 90.00°, γ = 120.00°
Space group P-62m (No. 189)
Unique sites:
1 Sc 0.0000 0.5949 0.0000 [3 per cell]
2 Zn 0.3333 0.6667 0.5000 [2 per cell]
3 In 0.0000 0.2417 0.5000 [3 per cell]

Principal peaks in the range 10 to 90 degrees two-theta, low angle first:
hkl	2θ (°)	I/Imax
0 0 1	25.91	39
1 1 1	35.44	86
2 1 0	36.64	100
2 0 1	38.14	46
3 0 0	41.76	21
2 1 1	45.43	55
2 1 2	66.41	33
3 2 1	68.71	23

---

# 3
ScZnIn: theoretical powder XRD pattern (copper Kα), based on a structure optimized by DFT (PBE).
Neutral-atom scattering factors, no anomalous dispersion.

Structural model:
a = 4.5782 Å, b = 3.2957 Å, c = 8.0988 Å
α = 90.00°, β = 90.00°, γ = 90.00°
Space group Pmma (No. 51)
Unique sites:
1 Sc 0.2500 0.0000 0.2303 [2 per cell]
2 Zn 0.2500 0.5000 0.9336 [2 per cell]
3 In 0.2500 0.5000 0.6023 [2 per cell]

Principal peaks in the range 10 to 90 degrees two-theta, low angle first:
hkl	2θ (°)	I/Imax
1 0 1	22.31	22
0 1 0	27.06	50
0 1 2	35.11	38
1 1 1	35.34	100
1 0 3	38.72	90
2 0 0	39.36	49
1 1 3	47.87	38
1 2 3	69.97	29

---

# 4
Sc6ZnIn: theoretical powder XRD pattern (copper Kα), based on a structure optimized by DFT (PBE).
Neutral-atom scattering factors, no anomalous dispersion.

Structural model:
a = 4.4686 Å, b = 4.4686 Å, c = 8.8896 Å
α = 90.00°, β = 90.00°, γ = 90.00°
Space group P4/mmm (No. 123)
Unique sites:
1 Sc 0.0000 0.0000 0.0000 [1 per cell]
2 Sc 0.0000 0.0000 0.5000 [1 per cell]
3 Sc 0.0000 0.5000 0.2415 [4 per cell]
4 Zn 0.5000 0.5000 0.0000 [1 per cell]
5 In 0.5000 0.5000 0.5000 [1 per cell]

Principal peaks in the range 10 to 90 degrees two-theta, low angle first:
hkl	2θ (°)	I/Imax
1 1 0	28.29	12
1 1 2	34.84	100
2 0 0	40.37	33
0 0 4	40.59	16
2 2 0	58.41	10
2 0 4	58.58	20
3 1 2	69.84	23
1 1 6	70.16	11

---

# 5
Sc3Zn7In: theoretical powder XRD pattern (copper Kα), based on a structure optimized by DFT (PBE).
Neutral-atom scattering factors, no anomalous dispersion.

Structural model:
a = 4.4411 Å, b = 19.2159 Å, c = 9.5716 Å
α = 90.00°, β = 90.00°, γ = 90.00°
Space group Cmcm (No. 63)
Unique sites:
1 Sc 0.0000 0.1254 0.0689 [8 per cell]
2 Sc 0.0000 0.1984 0.7500 [4 per cell]
3 Zn 0.0000 0.2784 0.0091 [8 per cell]
4 Zn 0.0000 0.3433 0.7500 [4 per cell]
5 Zn 0.0000 0.3944 0.1179 [8 per cell]
6 Zn 0.0000 0.4664 0.6151 [8 per cell]
7 In 0.0000 0.0345 0.7500 [4 per cell]

Principal peaks in the range 10 to 90 degrees two-theta, low angle first:
hkl	2θ (°)	I/Imax
0 2 2	20.73	47
0 6 2	33.69	27
1 1 3	34.94	58
1 5 2	36.16	42
1 7 1	39.73	100
2 0 0	40.63	80
1 1 4	43.16	76
1 3 4	45.32	29

---

# 6
ScZn2In2: theoretical powder XRD pattern (copper Kα), based on a structure optimized by DFT (PBE).
Neutral-atom scattering factors, no anomalous dispersion.

Structural model:
a = 7.5523 Å, b = 7.5523 Å, c = 3.6417 Å
α = 90.00°, β = 90.00°, γ = 90.00°
Space group P4/mbm (No. 127)
Unique sites:
1 Sc 0.0000 0.0000 0.0000 [2 per cell]
2 Zn 0.1202 0.3798 0.0000 [4 per cell]
3 In 0.1800 0.6800 0.5000 [4 per cell]

Principal peaks in the range 10 to 90 degrees two-theta, low angle first:
hkl	2θ (°)	I/Imax
1 1 0	16.60	13
2 0 1	34.21	35
2 1 1	36.28	100
3 1 0	37.66	28
4 1 0	49.78	14
0 0 2	50.10	13
4 1 1	56.21	15
3 1 2	64.34	11

---

# 7
ScZnIn: theoretical powder XRD pattern (copper Kα), based on a structure optimized by DFT (PBE).
Neutral-atom scattering factors, no anomalous dispersion.

Structural model:
a = 4.5918 Å, b = 4.5918 Å, c = 3.3277 Å
α = 90.00°, β = 90.00°, γ = 120.00°
Space group P-6m2 (No. 187)
Unique sites:
1 Sc 0.0000 0.0000 0.0000 [1 per cell]
2 Zn 0.6667 0.3333 0.5000 [1 per cell]
3 In 0.3333 0.6667 0.5000 [1 per cell]

Principal peaks in the range 10 to 90 degrees two-theta, low angle first:
hkl	2θ (°)	I/Imax
1 0 0	22.36	29
0 0 1	26.79	33
1 0 1	35.17	100
1 1 0	39.24	96
1 1 1	48.15	41
2 0 1	53.70	28
2 1 1	68.50	26
1 1 2	69.81	32

---

# 8
ZrSc6In3: theoretical powder XRD pattern (copper Kα), based on a structure optimized by DFT (PBE).
Neutral-atom scattering factors, no anomalous dispersion.

Structural model:
a = 8.8034 Å, b = 5.0346 Å, c = 11.1351 Å
α = 90.00°, β = 109.99°, γ = 90.00°
Space group P2_1/m (No. 11)
Unique sites:
1 Zr 0.0376 0.2500 0.4242 [2 per cell]
2 Sc 0.0864 0.7500 0.8757 [2 per cell]
3 Sc 0.1427 0.7500 0.1699 [2 per cell]
4 Sc 0.1512 0.2500 0.7170 [2 per cell]
5 Sc 0.2546 0.7500 0.4810 [2 per cell]
6 Sc 0.3362 0.2500 0.3223 [2 per cell]
7 Sc 0.4550 0.7500 0.0798 [2 per cell]
8 In 0.2239 0.2500 0.0270 [2 per cell]
9 In 0.3632 0.7500 0.7768 [2 per cell]
10 In 0.4503 0.2500 0.6189 [2 per cell]

Principal peaks in the range 10 to 90 degrees two-theta, low angle first:
hkl	2θ (°)	I/Imax
1 1 -2	24.34	34
2 0 -4	33.70	36
3 1 -1	35.50	95
0 2 0	35.67	56
1 1 3	35.92	100
2 1 -4	38.27	38
2 2 -4	49.88	22
1 3 3	64.24	19

---

# 9
ZrSc3In2: theoretical powder XRD pattern (copper Kα), based on a structure optimized by DFT (PBE).
Neutral-atom scattering factors, no anomalous dispersion.

Structural model:
a = 8.3266 Å, b = 3.3074 Å, c = 20.1157 Å
α = 90.00°, β = 90.00°, γ = 90.00°
Space group Pnma (No. 62)
Unique sites:
1 Zr 0.0474 0.2500 0.0629 [4 per cell]
2 Sc 0.0058 0.7500 0.6624 [4 per cell]
3 Sc 0.1390 0.2500 0.5403 [4 per cell]
4 Sc 0.1396 0.7500 0.8007 [4 per cell]
5 In 0.1807 0.7500 0.1905 [4 per cell]
6 In 0.2323 0.7500 0.4202 [4 per cell]

Principal peaks in the range 10 to 90 degrees two-theta, low angle first:
hkl	2θ (°)	I/Imax
1 0 4	20.63	45
1 1 4	34.19	58
3 0 3	34.96	100
0 0 8	35.75	89
1 1 5	36.80	88
3 0 4	36.99	40
2 1 3	37.22	38
0 2 8	67.82	32

---

# 10
Zr3Sc5In3: theoretical powder XRD pattern (copper Kα), based on a structure optimized by DFT (PBE).
Neutral-atom scattering factors, no anomalous dispersion.

Structural model:
a = 15.3647 Å, b = 10.5750 Å, c = 3.2520 Å
α = 90.00°, β = 98.68°, γ = 90.00°
Space group C2 (No. 5)
Unique sites:
1 Zr 0.0000 0.0000 0.0000 [2 per cell]
2 Zr 0.0878 0.2429 0.2850 [4 per cell]
3 Sc 0.0000 0.5016 0.0000 [2 per cell]
4 Sc 0.1693 0.0016 0.6864 [4 per cell]
5 Sc 0.1859 0.7334 0.1834 [4 per cell]
6 In 0.0000 0.7543 0.5000 [2 per cell]
7 In 0.1690 0.4759 0.6914 [4 per cell]

Principal peaks in the range 10 to 90 degrees two-theta, low angle first:
hkl	2θ (°)	I/Imax
3 1 0	19.44	32
5 1 0	30.62	29
3 1 -1	31.79	30
0 4 0	33.91	59
2 2 1	36.18	100
4 2 -1	37.87	30
5 3 0	39.15	21
6 2 0	39.47	24

---

# 11
Zr2Sc3In4: theoretical powder XRD pattern (copper Kα), based on a structure optimized by DFT (PBE).
Neutral-atom scattering factors, no anomalous dispersion.

Structural model:
a = 9.2672 Å, b = 4.6614 Å, c = 9.5345 Å
α = 90.00°, β = 98.46°, γ = 90.00°
Space group C2/m (No. 12)
Unique sites:
1 Zr 0.1571 0.0000 0.2211 [4 per cell]
2 Sc 0.0000 0.5000 0.0000 [2 per cell]
3 Sc 0.1758 0.0000 0.5670 [4 per cell]
4 In 0.0048 0.5000 0.6617 [4 per cell]
5 In 0.1730 0.0000 0.8950 [4 per cell]

Principal peaks in the range 10 to 90 degrees two-theta, low angle first:
hkl	2θ (°)	I/Imax
2 0 1	22.80	16
1 1 -3	34.61	100
3 1 0	35.12	95
2 0 3	36.98	41
0 2 0	38.63	37
4 0 -3	45.41	24
2 2 3	54.55	26
4 2 -3	61.11	18

---

# 12
ZrScIn: theoretical powder XRD pattern (copper Kα), based on a structure optimized by DFT (PBE).
Neutral-atom scattering factors, no anomalous dispersion.

Structural model:
a = 5.0545 Å, b = 5.0545 Å, c = 6.1503 Å
α = 90.00°, β = 90.00°, γ = 120.00°
Space group P6_3/mmc (No. 194)
Unique sites:
1 Zr 0.0000 0.0000 0.0000 [2 per cell]
2 Sc 0.3333 0.6667 0.2500 [2 per cell]
3 In 0.3333 0.6667 0.7500 [2 per cell]

Principal peaks in the range 10 to 90 degrees two-theta, low angle first:
hkl	2θ (°)	I/Imax
1 0 1	24.97	29
1 1 0	35.52	100
1 0 2	35.68	92
2 0 2	51.23	32
3 0 0	63.79	17
2 1 2	63.89	32
1 1 4	71.87	23
3 1 2	86.11	14